Record 1
The following is a computed XRD peak list of CuAg3Cl8. It was derived from a crystal structure in Alexandria, relaxed with GGA-PBE, using λ = 1.5418 Å (Cu Kα).
Neutral-atom scattering factors, no anomalous dispersion.

Top 10 peaks for 10° ≤ 2θ ≤ 80°, in order of falling intensity:
hkl  two_theta  I/Imax
2 0 -1  14.93  100
4 0 0  25.60  75
2 2 -2  36.80  54
0 2 1  29.00  37
2 0 1  22.66  31
2 2 2  44.45  30
6 2 -2  46.27  26
4 2 -1  34.92  18
4 2 1  42.86  15
6 0 -1  35.58  14

Structure:
a b c (Å): 15.143 7.097 6.743
angles (deg): 90.00 113.20 90.00
Space group C2/m (No. 12)
Asymmetric unit:
Cu1 0.000 0.000 0.000 [2 per cell]
Ag1 0.000 0.500 0.000 [2 per cell]
Ag2 0.250 0.250 0.500 [4 per cell]
Cl1 0.009 0.226 0.243 [8 per cell]
Cl2 0.241 0.500 0.237 [4 per cell]
Cl3 0.248 0.500 0.753 [4 per cell]



Record 2
The following is a computed XRD peak list of Na2NpPO6. It was derived from a crystal structure in Alexandria, relaxed with GGA-PBE, using λ = 1.5418 Å (Cu Kα).
Neutral-atom scattering factors, no anomalous dispersion.

Top 10 peaks for 10° ≤ 2θ ≤ 80°, in order of falling intensity:
hkl  two_theta  I/Imax
1 1 1  31.34  100
1 0 0  16.67  95
1 1 0  23.66  83
1 0 1  26.34  70
0 0 1  20.25  59
2 1 1  43.28  51
2 0 0  33.71  43
2 1 0  37.83  36
3 1 1  58.81  33
2 2 0  48.42  30

Structure:
a b c (Å): 5.317 5.317 4.386
angles (deg): 90.00 90.00 90.00
Space group P4mm (No. 99)
Asymmetric unit:
Na1 0.000 0.500 0.000 [2 per cell]
Np1 0.000 0.000 0.548 [1 per cell]
P1 0.500 0.500 0.471 [1 per cell]
O1 0.000 0.000 0.055 [1 per cell]
O2 0.281 0.281 0.567 [4 per cell]
O3 0.500 0.500 0.122 [1 per cell]



Record 3
The following is a computed XRD peak list of AcAg2Pd. It was derived from a crystal structure in Alexandria, relaxed with GGA-PBE, using λ = 1.5418 Å (Cu Kα).
Neutral-atom scattering factors, no anomalous dispersion.

Top 10 peaks for 10° ≤ 2θ ≤ 80°, in order of falling intensity:
hkl  two_theta  I/Imax
1 2 -1  31.35  100
1 1 1  34.28  98
2 0 -1  39.32  38
0 1 2  36.20  30
0 3 1  38.75  29
2 3 0  56.39  19
2 1 -3  54.51  18
1 5 1  69.22  17
1 2 1  39.89  15
1 0 3  65.64  15

Structure:
a b c (Å): 4.583 7.779 5.716
angles (deg): 90.00 113.63 90.00
Space group P2_1/m (No. 11)
Asymmetric unit:
Ac1 0.078 0.250 0.155 [2 per cell]
Ag1 0.366 0.059 0.733 [4 per cell]
Pd1 0.214 0.750 0.426 [2 per cell]